Structure and computed powder XRD pattern of Tl4Hg15Te (a cell relaxed with GGA-PBE; CuKα).
Lines closer than 0.1° are merged.

Largest 8 diffraction maxima, by angle, 10° ≤ 2θ ≤ 80°:
- 2θ 32.56, intensity 100.0
- 2θ 33.37, intensity 47.7
- 2θ 45.48, intensity 9.6
- 2θ 47.92, intensity 17.6
- 2θ 57.58, intensity 19.2
- 2θ 59.08, intensity 18.7
- 2θ 59.19, intensity 18.6
- 2θ 68.21, intensity 11.7

a b c (Å): 5.3624 5.3767 19.9416
angles (deg): 90.00 90.00 90.00
Fractional positions:
1 Tl 0.0000 0.0000 0.1010
2 Tl 0.0000 0.0000 0.3120
3 Tl 0.0000 0.0000 0.6880
4 Tl 0.0000 0.0000 0.8990
5 Hg 0.0000 0.5000 0.0000
6 Hg 0.0000 0.5000 0.2008
7 Hg 0.0000 0.5000 0.4029
8 Hg 0.0000 0.5000 0.5971
9 Hg 0.0000 0.5000 0.7992
10 Hg 0.5000 0.0000 0.0000
11 Hg 0.5000 0.0000 0.2009
12 Hg 0.5000 0.0000 0.4028
13 Hg 0.5000 0.0000 0.5972
14 Hg 0.5000 0.0000 0.7991
15 Hg 0.5000 0.5000 0.1004
16 Hg 0.5000 0.5000 0.2969
17 Hg 0.5000 0.5000 0.5000
18 Hg 0.5000 0.5000 0.7031
19 Hg 0.5000 0.5000 0.8996
20 Te 0.0000 0.0000 0.5000

Structure and computed powder XRD pattern of Mg14VZn (a cell relaxed with GGA-PBE; CuKα).
Lines closer than 0.1° are merged.

Largest 8 diffraction maxima, by angle, 10° ≤ 2θ ≤ 80°:
- 2θ 33.07, intensity 25.3
- 2θ 35.17, intensity 26.7
- 2θ 37.60, intensity 100.0
- 2θ 49.05, intensity 15.9
- 2θ 59.07, intensity 16.5
- 2θ 64.71, intensity 19.5
- 2θ 70.65, intensity 18.6
- 2θ 72.17, intensity 14.0

a b c (Å): 6.2551 6.2551 10.2066
angles (deg): 90.00 90.00 120.00
Fractional positions:
1 Mg 0.0000 0.0000 0.2487
2 Mg 0.0000 0.0000 0.7513
3 Mg 0.0082 0.5041 0.2488
4 Mg 0.0082 0.5041 0.7512
5 Mg 0.3325 0.1663 0.5000
6 Mg 0.3349 0.1675 0.0000
7 Mg 0.4959 0.5041 0.2488
8 Mg 0.4959 0.5041 0.7512
9 Mg 0.4959 0.9918 0.2488
10 Mg 0.4959 0.9918 0.7512
11 Mg 0.8325 0.1675 0.0000
12 Mg 0.8325 0.6651 0.0000
13 Mg 0.8337 0.1663 0.5000
14 Mg 0.8337 0.6675 0.5000
15 V 0.3333 0.6667 0.0000
16 Zn 0.3333 0.6667 0.5000

Structure and computed powder XRD pattern of Li6TlIn2 (a cell relaxed with GGA-PBE; CuKα).
Lines closer than 0.1° are merged.

Largest 8 diffraction maxima, by angle, 10° ≤ 2θ ≤ 80°:
- 2θ 21.80, intensity 100.0
- 2θ 30.40, intensity 13.6
- 2θ 37.72, intensity 56.8
- 2θ 38.23, intensity 29.3
- 2θ 44.44, intensity 15.5
- 2θ 49.61, intensity 20.8
- 2θ 54.79, intensity 19.1
- 2θ 68.77, intensity 19.2

a b c (Å): 5.5510 5.5510 5.5510
angles (deg): 94.54 94.54 94.54
Fractional positions:
1 Li 0.0000 0.3329 0.6671
2 Li 0.0000 0.6671 0.3329
3 Li 0.3329 0.0000 0.6671
4 Li 0.3329 0.6671 0.0000
5 Li 0.6671 0.0000 0.3329
6 Li 0.6671 0.3329 0.0000
7 Tl 0.5000 0.5000 0.5000
8 In 0.1648 0.1648 0.1648
9 In 0.8352 0.8352 0.8352

Structure and computed powder XRD pattern of AgP8 (a cell relaxed with GGA-PBE; CuKα).
Lines closer than 0.1° are merged.

Largest 8 diffraction maxima, by angle, 10° ≤ 2θ ≤ 80°:
- 2θ 23.71, intensity 100.0
- 2θ 28.03, intensity 47.4
- 2θ 37.04, intensity 17.7
- 2θ 42.30, intensity 79.7
- 2θ 42.60, intensity 25.9
- 2θ 43.87, intensity 20.8
- 2θ 55.69, intensity 37.0
- 2θ 62.81, intensity 15.4

a b c (Å): 6.6929 6.6929 6.6929
angles (deg): 95.46 95.46 144.08
Fractional positions:
1 Ag 0.0000 0.0000 0.0000
2 P 0.0000 0.3738 0.3738
3 P 0.0000 0.6262 0.6262
4 P 0.2054 0.2054 0.4108
5 P 0.2054 0.7946 0.0000
6 P 0.3738 0.0000 0.3738
7 P 0.6262 0.0000 0.6262
8 P 0.7946 0.2054 0.0000
9 P 0.7946 0.7946 0.5892

Structure and computed powder XRD pattern of Si3Cl8O2 (a cell relaxed with GGA-PBE; CuKα).
Lines closer than 0.1° are merged.

Largest 8 diffraction maxima, by angle, 10° ≤ 2θ ≤ 80°:
- 2θ 15.31, intensity 30.8
- 2θ 15.89, intensity 100.0
- 2θ 22.61, intensity 78.0
- 2θ 24.87, intensity 52.1
- 2θ 25.83, intensity 27.2
- 2θ 26.31, intensity 32.9
- 2θ 29.01, intensity 20.8
- 2θ 29.57, intensity 34.4

a b c (Å): 11.5249 21.4829 6.6897
angles (deg): 90.00 90.00 90.00
Fractional positions:
1 Si 0.0915 0.1177 0.1041
2 Si 0.0915 0.3823 0.1041
3 Si 0.1972 0.2500 0.0162
4 Si 0.3028 0.7500 0.5162
5 Si 0.4085 0.6177 0.6041
6 Si 0.4085 0.8823 0.6041
7 Si 0.5915 0.1177 0.3959
8 Si 0.5915 0.3823 0.3959
9 Si 0.6972 0.2500 0.4838
10 Si 0.8028 0.7500 0.9838
11 Si 0.9085 0.6177 0.8959
12 Si 0.9085 0.8823 0.8959
13 Cl 0.0642 0.6149 0.0387
14 Cl 0.0642 0.8851 0.0387
15 Cl 0.0730 0.0848 0.3869
16 Cl 0.0730 0.4152 0.3869
17 Cl 0.1303 0.7500 0.5771
18 Cl 0.1724 0.2500 0.7152
19 Cl 0.2079 0.0641 0.9532
20 Cl 0.2079 0.4359 0.9532
21 Cl 0.2921 0.5641 0.4532
22 Cl 0.2921 0.9359 0.4532
23 Cl 0.3276 0.7500 0.2152
24 Cl 0.3697 0.2500 0.0771
25 Cl 0.4270 0.5848 0.8869
26 Cl 0.4270 0.9152 0.8869
27 Cl 0.4358 0.1149 0.5387
28 Cl 0.4358 0.3851 0.5387
29 Cl 0.5642 0.6149 0.4613
30 Cl 0.5642 0.8851 0.4613
31 Cl 0.5730 0.0848 0.1131
32 Cl 0.5730 0.4152 0.1131
33 Cl 0.6303 0.7500 0.9229
34 Cl 0.6724 0.2500 0.7848
35 Cl 0.7079 0.0641 0.5468
36 Cl 0.7079 0.4359 0.5468
37 Cl 0.7921 0.5641 0.0468
38 Cl 0.7921 0.9359 0.0468
39 Cl 0.8276 0.7500 0.2848
40 Cl 0.8697 0.2500 0.4229
41 Cl 0.9270 0.5848 0.6131
42 Cl 0.9270 0.9152 0.6131
43 Cl 0.9358 0.1149 0.9613
44 Cl 0.9358 0.3851 0.9613
45 O 0.1371 0.1892 0.1173
46 O 0.1371 0.3108 0.1173
47 O 0.3629 0.6892 0.6173
48 O 0.3629 0.8108 0.6173
49 O 0.6371 0.1892 0.3827
50 O 0.6371 0.3108 0.3827
51 O 0.8629 0.6892 0.8827
52 O 0.8629 0.8108 0.8827

Structure and computed powder XRD pattern of Er5Tm2Th3 (a cell relaxed with GGA-PBE; CuKα).
Lines closer than 0.1° are merged.

Largest 8 diffraction maxima, by angle, 10° ≤ 2θ ≤ 80°:
- 2θ 31.05, intensity 100.0
- 2θ 35.76, intensity 17.2
- 2θ 35.89, intensity 17.1
- 2θ 36.36, intensity 16.5
- 2θ 61.34, intensity 14.7
- 2θ 61.51, intensity 14.6
- 2θ 62.14, intensity 14.1
- 2θ 64.73, intensity 12.5

a b c (Å): 6.0821 6.0821 11.1925
angles (deg): 90.68 90.68 48.59
Fractional positions:
1 Er 0.0000 0.0000 0.0000
2 Er 0.1996 0.1996 0.6007
3 Er 0.3003 0.3003 0.8996
4 Er 0.6997 0.6997 0.1004
5 Er 0.8004 0.8004 0.3993
6 Tm 0.4025 0.4025 0.2007
7 Tm 0.5975 0.5975 0.7993
8 Th 0.0990 0.0990 0.2984
9 Th 0.5000 0.5000 0.5000
10 Th 0.9010 0.9010 0.7016

Structure and computed powder XRD pattern of YScU2P4 (a cell relaxed with GGA-PBE; CuKα).
Lines closer than 0.1° are merged.

Largest 8 diffraction maxima, by angle, 10° ≤ 2θ ≤ 80°:
- 2θ 13.72, intensity 45.7
- 2θ 26.80, intensity 21.3
- 2θ 27.64, intensity 20.9
- 2θ 27.99, intensity 60.8
- 2θ 32.33, intensity 100.0
- 2θ 46.14, intensity 36.8
- 2θ 46.60, intensity 35.7
- 2θ 55.04, intensity 19.9

a b c (Å): 6.7487 3.9004 6.8365
angles (deg): 90.00 109.24 90.00
Fractional positions:
1 Y 0.0000 0.0000 0.0000
2 Sc 0.5000 0.5000 0.0000
3 U 0.0000 0.5000 0.5000
4 U 0.5000 0.0000 0.5000
5 P 0.2573 0.5000 0.2500
6 P 0.2588 0.0000 0.7550
7 P 0.7412 0.0000 0.2450
8 P 0.7427 0.5000 0.7500

Structure and computed powder XRD pattern of SrCu4Ni9 (a cell relaxed with GGA-PBE; CuKα).
Lines closer than 0.1° are merged.

Largest 8 diffraction maxima, by angle, 10° ≤ 2θ ≤ 80°:
- 2θ 15.60, intensity 19.3
- 2θ 35.13, intensity 13.5
- 2θ 35.30, intensity 22.9
- 2θ 38.64, intensity 29.6
- 2θ 38.79, intensity 50.6
- 2θ 47.08, intensity 40.9
- 2θ 47.29, intensity 100.0
- 2θ 48.04, intensity 16.8

a b c (Å): 8.0620 8.0620 8.0620
angles (deg): 120.24 120.24 89.59
Fractional positions:
1 Sr 0.2500 0.2500 0.0000
2 Sr 0.7500 0.7500 0.0000
3 Cu 0.0626 0.5626 0.8637
4 Cu 0.1989 0.0626 0.5000
5 Cu 0.3011 0.8011 0.8637
6 Cu 0.4374 0.3011 0.5000
7 Cu 0.5626 0.6989 0.5000
8 Cu 0.6989 0.1989 0.1363
9 Cu 0.8011 0.9374 0.5000
10 Cu 0.9374 0.4374 0.1363
11 Ni 0.0000 0.5000 0.5000
12 Ni 0.0619 0.2046 0.2666
13 Ni 0.0654 0.7879 0.5000
14 Ni 0.2046 0.9381 0.1427
15 Ni 0.2121 0.7121 0.2774
16 Ni 0.2879 0.5654 0.5000
17 Ni 0.2954 0.4381 0.7334
18 Ni 0.4346 0.9346 0.7226
19 Ni 0.4381 0.7046 0.1427
20 Ni 0.5000 0.0000 0.5000
21 Ni 0.5619 0.2954 0.8573
22 Ni 0.5654 0.0654 0.2774
23 Ni 0.7046 0.5619 0.2666
24 Ni 0.7121 0.4346 0.5000
25 Ni 0.7879 0.2879 0.7226
26 Ni 0.7954 0.0619 0.8573
27 Ni 0.9346 0.2121 0.5000
28 Ni 0.9381 0.7954 0.7334